Starting from a crystal structure in the Materials Project, relaxed with GGA+U, the X-ray diffraction stick pattern of CrP2O7 was simulated for CuKα.
No peak broadening, texture or thermal motion is included.

Largest 6 diffraction maxima, low angle first, 2θ from 10° to 90°:
2theta  intensity  h k l
13.85  45  0 1 0
16.08  100  1 0 1
19.88  30  1 1 0
28.28  93  2 0 1
31.13  47  0 2 -1
31.59  40  0 2 1

```
data_CrP2O7
_cell_length_a 6.3359
_cell_length_b 6.4153
_cell_length_c 6.9050
_cell_angle_alpha 89.09
_cell_angle_beta 66.26
_cell_angle_gamma 85.42
_symmetry_space_group_name_H-M 'P -1'
_symmetry_Int_Tables_number 2
loop_
_symmetry_equiv_pos_as_xyz
'x,y,z'
'-x,-y,-z'
loop_
_atom_site_label
_atom_site_type_symbol
_atom_site_fract_x
_atom_site_fract_y
_atom_site_fract_z
Cr1 Cr 0.0981 0.1432 0.2930
P1 P 0.2280 0.6370 0.2514
P2 P 0.3370 0.8881 0.8497
O1 O 0.0618 0.8313 0.3766
O2 O 0.0927 0.4444 0.2773
O3 O 0.2079 0.8522 0.7111
O4 O 0.2410 0.0867 0.9882
O5 O 0.3051 0.6943 0.0075
O6 O 0.4060 0.1125 0.2944
O7 O 0.4312 0.6009 0.3130
```

=====

Starting from a crystal structure in the Materials Project, relaxed with GGA+U, the X-ray diffraction stick pattern of CrPO4 was simulated for CuKα.
No peak broadening, texture or thermal motion is included.

Largest 6 diffraction maxima, low angle first, 2θ from 10° to 90°:
2theta  intensity  h k l
10.58  74  0 0 1
14.13  100  0 1 0
18.44  14  0 1 1
30.26  30  -2 1 1
31.38  16  0 2 1
32.12  19  0 0 3

```
data_CrPO4
_cell_length_a 6.2877
_cell_length_b 6.3490
_cell_length_c 8.9588
_cell_angle_alpha 92.17
_cell_angle_beta 110.44
_cell_angle_gamma 97.58
_symmetry_space_group_name_H-M 'P -1'
_symmetry_Int_Tables_number 2
loop_
_symmetry_equiv_pos_as_xyz
'x,y,z'
'-x,-y,-z'
loop_
_atom_site_label
_atom_site_type_symbol
_atom_site_fract_x
_atom_site_fract_y
_atom_site_fract_z
Cr1 Cr 0.1781 0.0502 0.2906
Cr2 Cr 0.3005 0.8205 0.9866
P1 P 0.1756 0.2866 0.9638
P2 P 0.3778 0.8967 0.6598
O1 O 0.0156 0.2356 0.7909
O2 O 0.0469 0.1958 0.0783
O3 O 0.2098 0.8224 0.7482
O4 O 0.2315 0.9790 0.5064
O5 O 0.2779 0.5176 0.0149
O6 O 0.3728 0.1454 0.9927
O7 O 0.4173 0.9129 0.2353
O8 O 0.4695 0.2662 0.3600
```